This entry pairs a crystal structure of LaTmPt2 with its computed powder diffraction line list. Radiation: Cu Kα (weighted mean of Kα1 and Kα2). Structure: a DFT-relaxed cell (GGA-PBE, Alexandria).

Largest 10 diffraction maxima, in order of falling intensity, 2θ = 15–90°:
d 2.710, I = 100
d 2.379, I = 90
d 1.788, I = 30
d 1.429, I = 28
d 4.798, I = 18
d 1.373, I = 16
d 1.840, I = 13
d 2.131, I = 13
d 2.360, I = 12
d 1.189, I = 10

Atomic structure:
Cell: 4.7571 4.7571 14.3931 Å, 90.00 90.00 120.00°
Space group R-3m (No. 166, hexagonal axes)
Asymmetric unit:
La 0.0000 0.0000 0.0000
Tm 0.0000 0.0000 0.5000
Pt 0.0000 0.0000 0.2231